# Hf2In3
Theoretical XRD peak list, a wavelength of 1.5418 Å. Input: the PBE geometry in Alexandria.
Intensities are scaled so that the largest is 1000.

Structure:
Unit cell a=5.6111 b=5.6111 c=6.9844 alpha=128.46 beta=128.46 gamma=43.44
Atoms (fractional coordinates):
Hf: 0.1020 0.1020 0.3021
Hf: 0.8980 0.8980 0.6979
In: 0.3020 0.3020 0.8994
In: 0.5000 0.5000 0.5000
In: 0.6980 0.6980 0.1006

The 10 most intense peaks (2θ from 15° to 90°), by intensity:
d_spacing, I_rel
2.624, 1000
2.527, 885
2.422, 395
2.229, 307
2.076, 248
1.576, 212
1.519, 181
1.451, 155
1.402, 138
1.693, 130